Structure and theoretical powder XRD pattern of LiCa3Pu3N8 (DFT lattice parameters and positions (GGA-PBE); a wavelength of 1.5418 Å).

Structural model:
```
LiCa3Pu3N8
1.0
3.393 1.959 5.517
-3.393 1.959 5.517
0.000 -3.918 5.517
Li Ca Pu N
1 3 3 8
direct
0.000 0.000 0.000
0.000 0.000 0.500
0.000 0.500 0.000
0.500 0.000 0.000
0.000 0.500 0.500
0.500 0.000 0.500
0.500 0.500 0.000
0.241 0.241 0.708
0.241 0.708 0.241
0.257 0.257 0.257
0.292 0.759 0.759
0.708 0.241 0.241
0.743 0.743 0.743
0.759 0.292 0.759
0.759 0.759 0.292
```

Main lines, by intensity (2θ from 5° to 70°):
2θ = 16.1°, intensity 100
2θ = 37.5°, intensity 69
2θ = 32.3°, intensity 63
2θ = 30.9°, intensity 56
2θ = 18.5°, intensity 35
2θ = 26.3°, intensity 30
2θ = 64.5°, intensity 30
2θ = 54.1°, intensity 24
2θ = 54.2°, intensity 22
2θ = 32.5°, intensity 22


Structure and theoretical powder XRD pattern of YHo4Pb5 (DFT lattice parameters and positions (GGA-PBE); a wavelength of 1.5418 Å).

Structural model:
```
YHo4Pb5
1.0
-4.962 4.962 3.138
4.962 -4.962 3.138
4.962 4.962 -3.138
Y Ho Pb
1 4 5
direct
0.000 0.000 0.000
0.198 0.598 0.802
0.396 0.198 0.600
0.598 0.796 0.400
0.796 0.396 0.198
0.097 0.299 0.402
0.299 0.897 0.202
0.500 0.500 0.000
0.695 0.097 0.798
0.897 0.695 0.598
```

Main lines, by intensity (2θ from 5° to 70°):
2θ = 28.4°, intensity 100
2θ = 40.7°, intensity 78
2θ = 66.6°, intensity 37
2θ = 50.4°, intensity 28
2θ = 58.9°, intensity 13
2θ = 24.6°, intensity 5
2θ = 48.1°, intensity 3
2θ = 64.7°, intensity 1
2θ = 16.7°, intensity 1
2θ = 12.6°, intensity 1


Structure and theoretical powder XRD pattern of Hf2Sb2Pb4O13 (DFT lattice parameters and positions (GGA-PBE); a wavelength of 1.5418 Å).

Structural model:
```
Hf2Sb2Pb4O13
1.0
-3.800 3.814 5.369
3.800 -3.814 5.369
3.800 3.814 -5.369
Hf Sb Pb O
2 2 4 13
direct
0.249 0.000 0.249
0.751 0.000 0.751
0.250 0.001 0.751
0.250 0.499 0.249
0.253 0.502 0.751
0.748 0.002 0.253
0.748 0.495 0.747
0.751 0.502 0.249
0.180 0.680 0.500
0.184 0.076 0.512
0.184 0.672 0.108
0.314 0.326 0.389
0.314 0.925 0.988
0.318 0.318 0.000
0.564 0.076 0.892
0.564 0.672 0.488
0.581 0.081 0.500
0.879 0.379 0.500
0.926 0.926 0.000
0.937 0.326 0.012
0.937 0.925 0.611
```

Main lines, by intensity (2θ from 5° to 70°):
2θ = 28.7°, intensity 100
2θ = 33.3°, intensity 40
2θ = 47.9°, intensity 36
2θ = 56.8°, intensity 30
2θ = 56.7°, intensity 15
2θ = 47.7°, intensity 7
2θ = 59.5°, intensity 6
2θ = 59.6°, intensity 6
2θ = 69.9°, intensity 4
2θ = 36.4°, intensity 2


Structure and theoretical powder XRD pattern of RbNaHgS2 (DFT lattice parameters and positions (GGA-PBE); a wavelength of 1.5418 Å).

Structural model:
```
RbNaHgS2
1.0
3.340 -7.319 0.000
3.340 7.319 0.000
0.000 0.000 6.177
Rb Na Hg S
2 2 2 4
direct
0.250 0.750 0.772
0.750 0.250 0.228
0.250 0.250 0.500
0.750 0.750 0.500
0.000 0.000 0.000
0.500 0.500 0.000
0.117 0.883 0.260
0.383 0.617 0.260
0.617 0.383 0.740
0.883 0.117 0.740
```

Main lines, by intensity (2θ from 5° to 70°):
2θ = 14.3°, intensity 100
2θ = 12.1°, intensity 90
2θ = 31.4°, intensity 89
2θ = 18.8°, intensity 87
2θ = 26.7°, intensity 81
2θ = 32.8°, intensity 79
2θ = 39.3°, intensity 62
2θ = 26.8°, intensity 59
2θ = 41.7°, intensity 58
2θ = 30.4°, intensity 57


Structure and theoretical powder XRD pattern of GdB2Ir3 (DFT lattice parameters and positions (GGA-PBE); a wavelength of 1.5418 Å).

Structural model:
```
GdB2Ir3
1.0
5.507 0.000 0.000
-2.754 4.769 0.000
0.000 0.000 3.130
Gd B Ir
1 2 3
direct
0.000 0.000 0.000
0.333 0.667 0.000
0.667 0.333 0.000
0.000 0.500 0.500
0.500 0.000 0.500
0.500 0.500 0.500
```

Main lines, by intensity (2θ from 5° to 70°):
2θ = 37.7°, intensity 100
2θ = 34.3°, intensity 57
2θ = 48.0°, intensity 35
2θ = 43.8°, intensity 33
2θ = 59.1°, intensity 24
2θ = 28.5°, intensity 21
2θ = 68.1°, intensity 19
2θ = 65.9°, intensity 10
2θ = 59.0°, intensity 10
2θ = 18.6°, intensity 2


Structure and theoretical powder XRD pattern of La4CdGe2 (DFT lattice parameters and positions (GGA-PBE); a wavelength of 1.5418 Å).

Structural model:
```
La4CdGe2
1.0
0.000 6.632 4.799
6.615 0.000 4.799
6.615 6.632 0.000
La Cd Ge
8 2 4
direct
0.056 0.211 0.037
0.211 0.056 0.696
0.213 0.554 0.194
0.330 0.670 0.423
0.554 0.213 0.039
0.670 0.330 0.577
0.673 0.827 0.580
0.827 0.673 0.920
0.067 0.067 0.433
0.817 0.817 0.183
0.309 0.575 0.808
0.442 0.942 0.941
0.575 0.309 0.308
0.942 0.442 0.675
```

Main lines, by intensity (2θ from 5° to 70°):
2θ = 30.1°, intensity 100
2θ = 29.5°, intensity 61
2θ = 35.6°, intensity 46
2θ = 35.8°, intensity 46
2θ = 35.3°, intensity 20
2θ = 46.8°, intensity 16
2θ = 47.4°, intensity 16
2θ = 60.9°, intensity 15
2θ = 48.8°, intensity 15
2θ = 23.2°, intensity 13


Structure and theoretical powder XRD pattern of Ce3AlAu (DFT lattice parameters and positions (GGA-PBE); a wavelength of 1.5418 Å).

Structural model:
```
Ce3AlAu
1.0
4.292 0.000 0.000
0.000 7.530 0.000
-1.648 0.000 7.803
Ce Al Au
6 2 2
direct
0.097 0.250 0.451
0.353 0.007 0.262
0.353 0.493 0.262
0.647 0.507 0.738
0.647 0.993 0.738
0.903 0.750 0.549
0.209 0.750 0.923
0.791 0.250 0.077
0.219 0.250 0.889
0.781 0.750 0.111
```

Main lines, by intensity (2θ from 5° to 70°):
2θ = 33.1°, intensity 100
2θ = 32.4°, intensity 98
2θ = 34.5°, intensity 77
2θ = 24.3°, intensity 75
2θ = 25.7°, intensity 64
2θ = 31.9°, intensity 61
2θ = 42.2°, intensity 55
2θ = 36.7°, intensity 44
2θ = 48.3°, intensity 37
2θ = 36.8°, intensity 32


Structure and theoretical powder XRD pattern of Na5AuSe12 (DFT lattice parameters and positions (GGA-PBE); a wavelength of 1.5418 Å).

Structural model:
```
Na5AuSe12
1.0
7.171 0.000 0.000
0.000 17.528 0.000
-2.305 0.000 8.126
Na Au Se
10 2 24
direct
0.124 0.000 0.095
0.218 0.794 0.038
0.231 0.203 0.330
0.299 0.419 0.534
0.334 0.618 0.301
0.666 0.118 0.699
0.701 0.919 0.466
0.769 0.703 0.670
0.782 0.294 0.962
0.876 0.500 0.905
0.217 0.208 0.824
0.783 0.708 0.176
0.013 0.145 0.561
0.042 0.400 0.197
0.050 0.337 0.736
0.095 0.639 0.950
0.157 0.020 0.559
0.209 0.803 0.502
0.307 0.399 0.077
0.367 0.613 0.845
0.388 0.081 0.906
0.399 0.040 0.414
0.423 0.270 0.087
0.471 0.780 0.385
0.529 0.280 0.615
0.577 0.770 0.913
0.601 0.540 0.586
0.612 0.581 0.094
0.633 0.113 0.155
0.693 0.899 0.923
0.791 0.303 0.498
0.843 0.520 0.441
0.905 0.139 0.050
0.950 0.837 0.264
0.958 0.900 0.803
0.987 0.645 0.439
```

Main lines, by intensity (2θ from 5° to 70°):
2θ = 29.5°, intensity 100
2θ = 28.6°, intensity 98
2θ = 10.1°, intensity 94
2θ = 30.2°, intensity 79
2θ = 15.3°, intensity 65
2θ = 30.8°, intensity 63
2θ = 12.0°, intensity 59
2θ = 13.8°, intensity 59
2θ = 17.6°, intensity 58
2θ = 32.3°, intensity 55


Structure and theoretical powder XRD pattern of LiNdH6Pt (DFT lattice parameters and positions (GGA-PBE); a wavelength of 1.5418 Å).

Structural model:
```
LiNdH6Pt
1.0
4.581 0.000 0.000
-2.290 3.967 0.000
0.000 0.000 4.442
Li Nd H Pt
1 1 6 1
direct
0.000 0.000 0.000
0.667 0.333 0.500
0.176 0.351 0.271
0.176 0.351 0.729
0.176 0.824 0.271
0.176 0.824 0.729
0.649 0.824 0.271
0.649 0.824 0.729
0.333 0.667 0.000
```

Main lines, by intensity (2θ from 5° to 70°):
2θ = 30.2°, intensity 100
2θ = 22.4°, intensity 35
2θ = 39.3°, intensity 33
2θ = 50.4°, intensity 25
2θ = 57.8°, intensity 22
2θ = 65.7°, intensity 22
2θ = 67.5°, intensity 10
2θ = 46.9°, intensity 10
2θ = 40.6°, intensity 10
2θ = 45.7°, intensity 6


Structure and theoretical powder XRD pattern of Tm2Co3Os (DFT lattice parameters and positions (GGA-PBE); a wavelength of 1.5418 Å).

Structural model:
```
Tm2Co3Os
1.0
2.557 1.476 4.118
-2.557 1.476 4.118
0.000 -2.952 4.118
Tm Co Os
2 3 1
direct
0.126 0.126 0.126
0.874 0.874 0.874
0.000 0.500 0.500
0.500 0.000 0.500
0.500 0.500 0.000
0.500 0.500 0.500
```

Main lines, by intensity (2θ from 5° to 70°):
2θ = 41.6°, intensity 100
2θ = 35.1°, intensity 70
2θ = 41.9°, intensity 47
2θ = 43.4°, intensity 25
2θ = 67.4°, intensity 24
2θ = 67.6°, intensity 22
2θ = 21.6°, intensity 21
2θ = 35.4°, intensity 14
2θ = 63.0°, intensity 13
2θ = 63.8°, intensity 13


Structure and theoretical powder XRD pattern of Sc7SnS5 (DFT lattice parameters and positions (GGA-PBE); a wavelength of 1.5418 Å).

Structural model:
```
Sc7SnS5
1.0
1.847 -6.144 0.000
1.847 6.144 0.000
0.000 0.000 22.026
Sc Sn S
14 2 10
direct
0.008 0.992 0.750
0.138 0.862 0.035
0.138 0.862 0.465
0.324 0.676 0.672
0.324 0.676 0.828
0.407 0.593 0.113
0.407 0.593 0.387
0.593 0.407 0.613
0.593 0.407 0.887
0.676 0.324 0.172
0.676 0.324 0.328
0.862 0.138 0.535
0.862 0.138 0.965
0.992 0.008 0.250
0.306 0.694 0.250
0.694 0.306 0.750
0.046 0.954 0.139
0.046 0.954 0.361
0.225 0.775 0.571
0.225 0.775 0.929
0.500 0.500 0.000
0.500 0.500 0.500
0.775 0.225 0.071
0.775 0.225 0.429
0.954 0.046 0.639
0.954 0.046 0.861
```

Main lines, by intensity (2θ from 5° to 70°):
2θ = 33.7°, intensity 100
2θ = 32.0°, intensity 54
2θ = 34.9°, intensity 53
2θ = 49.1°, intensity 37
2θ = 45.0°, intensity 36
2θ = 32.5°, intensity 30
2θ = 49.3°, intensity 26
2θ = 47.4°, intensity 24
2θ = 38.3°, intensity 22
2θ = 60.0°, intensity 16


Structure and theoretical powder XRD pattern of PAu4 (DFT lattice parameters and positions (GGA-PBE); a wavelength of 1.5418 Å).

Structural model:
```
PAu4
1.0
-2.927 2.927 2.927
2.927 -2.927 2.927
2.927 2.927 -2.927
P Au
1 4
direct
0.000 0.000 0.000
0.000 0.000 0.500
0.000 0.500 0.000
0.500 0.000 0.000
0.500 0.500 0.500
```

Main lines, by intensity (2θ from 5° to 70°):
2θ = 30.5°, intensity 100
2θ = 43.7°, intensity 89
2θ = 54.3°, intensity 27
2θ = 63.6°, intensity 15
2θ = 21.5°, intensity 1